Theoretical X-ray powder pattern
Compound: CaZrPd6
Radiation: Cu Kα (λ = 1.5418 Å)
Structure: the GGA-PBE geometry in Alexandria
No peak broadening, texture or thermal motion is included.

Top 12 peaks for 2θ = 15–90°, most intense first:
2θ/deg  I (rel.)  index
38.2  100  1 1 2
44.4  33  2 0 0
64.6  30  2 2 0
77.6  24  3 1 2
44.3  16  0 0 4
77.4  11  1 1 6
81.7  10  2 2 4
21.8  3  1 0 0
45.8  3  1 1 3
31.0  3  1 1 0
24.4  1  1 0 1
74.3  1  2 0 5

Structural model:
```
data_CaZrPd6
_chemical_formula_sum 'Ca1 Zr1 Pd6'
_cell_length_a 4.0787
_cell_length_b 4.0787
_cell_length_c 8.1784
_cell_angle_alpha 90.00
_cell_angle_beta 90.00
_cell_angle_gamma 90.00
_space_group_name_H-M_alt 'P 4/m m m'
_space_group_IT_number 123
_space_group_name_Hall '-P 4 2'
loop_
_atom_site_label
_atom_site_type_symbol
_atom_site_fract_x
_atom_site_fract_y
_atom_site_fract_z
_atom_site_occupancy
Ca1 Ca 0.0000 0.0000 0.0000 1
Zr1 Zr 0.0000 0.0000 0.5000 1
Pd1 Pd 0.0000 0.5000 0.2620 1
Pd2 Pd 0.5000 0.5000 0.0000 1
Pd3 Pd 0.5000 0.5000 0.5000 1
```